Theoretical XRD peak list of Ba2DyNbO6 for Cu Kα X-rays, from a cell relaxed with GGA-PBE.
Kinematic intensities with the Lorentz-polarization factor, no thermal factor.

Main lines, low angle first (2θ from 10° to 90°):
17.95°, intensity 3
29.52°, intensity 100
34.76°, intensity 2
36.36°, intensity 2
42.23°, intensity 30
52.36°, intensity 41
61.26°, intensity 19
69.45°, intensity 18
77.21°, intensity 6
84.75°, intensity 21

Atomic structure:
a = 8.5598 Å, b = 8.5598 Å, c = 8.5598 Å
α = 90.00°, β = 90.00°, γ = 90.00°
Space group Fm-3m (No. 225)
Unique sites:
Ba 0.2500 0.2500 0.2500 (multiplicity 8)
Dy 0.0000 0.0000 0.0000 (multiplicity 4)
Nb 0.0000 0.0000 0.5000 (multiplicity 4)
O 0.0000 0.0000 0.2631 (multiplicity 24)

=====

Theoretical XRD peak list of BaDyNbSnO6 for Cu Kα X-rays, from a cell relaxed with GGA-PBE.
Kinematic intensities with the Lorentz-polarization factor, no thermal factor.

Main lines, low angle first (2θ from 10° to 90°):
29.74°, intensity 34
29.88°, intensity 100
30.09°, intensity 64
42.64°, intensity 37
43.24°, intensity 17
52.77°, intensity 14
53.01°, intensity 14
53.13°, intensity 37
53.42°, intensity 14
62.04°, intensity 11

Atomic structure:
a = 5.9373 Å, b = 5.9727 Å, c = 8.4913 Å
α = 90.38°, β = 90.12°, γ = 90.70°
Space group P-1 (No. 2)
Unique sites:
Ba 0.0042 0.0188 0.2491 (multiplicity 2)
Dy 0.0000 0.5000 0.0000 (multiplicity 1)
Dy 0.5000 0.0000 0.5000 (multiplicity 1)
Nb 0.0000 0.5000 0.5000 (multiplicity 1)
Nb 0.5000 0.0000 0.0000 (multiplicity 1)
Sn 0.4966 0.4863 0.7528 (multiplicity 2)
O 0.0919 0.4966 0.7360 (multiplicity 2)
O 0.1971 0.7709 0.4734 (multiplicity 2)
O 0.2267 0.8013 0.0197 (multiplicity 2)
O 0.2678 0.2988 0.4493 (multiplicity 2)
O 0.3035 0.2763 0.0435 (multiplicity 2)
O 0.4463 0.0289 0.7644 (multiplicity 2)

=====

Theoretical XRD peak list of BaDyNbSnO6 for Cu Kα X-rays, from a cell relaxed with GGA-PBE.
Kinematic intensities with the Lorentz-polarization factor, no thermal factor.

Main lines, low angle first (2θ from 10° to 90°):
29.92°, intensity 100
42.67°, intensity 9
42.89°, intensity 19
53.02°, intensity 15
53.16°, intensity 29
62.10°, intensity 11
70.61°, intensity 12
85.98°, intensity 8
86.17°, intensity 7
86.28°, intensity 8

Atomic structure:
a = 8.4330 Å, b = 8.4350 Å, c = 8.4752 Å
α = 90.00°, β = 90.00°, γ = 90.00°
Space group P222 (No. 16)
Unique sites:
Ba 0.0000 0.0000 0.0000 (multiplicity 1)
Ba 0.0000 0.0000 0.5000 (multiplicity 1)
Ba 0.5000 0.0000 0.0000 (multiplicity 1)
Ba 0.5000 0.5000 0.0000 (multiplicity 1)
Dy 0.2499 0.2547 0.7452 (multiplicity 4)
Nb 0.2535 0.2504 0.2540 (multiplicity 4)
Sn 0.0000 0.5000 0.0000 (multiplicity 1)
Sn 0.0000 0.5000 0.5000 (multiplicity 1)
Sn 0.5000 0.0000 0.5000 (multiplicity 1)
Sn 0.5000 0.5000 0.5000 (multiplicity 1)
O 0.0153 0.2831 0.2916 (multiplicity 4)
O 0.2173 0.2860 0.0150 (multiplicity 4)
O 0.2232 0.0144 0.2249 (multiplicity 4)
O 0.2849 0.2085 0.4867 (multiplicity 4)
O 0.2899 0.4855 0.2893 (multiplicity 4)
O 0.4865 0.2299 0.2166 (multiplicity 4)

=====

Theoretical XRD peak list of BaDyNbSnO6 for Cu Kα X-rays, from a cell relaxed with GGA-PBE.
Kinematic intensities with the Lorentz-polarization factor, no thermal factor.

Main lines, low angle first (2θ from 10° to 90°):
18.08°, intensity 3
29.73°, intensity 100
35.02°, intensity 3
42.55°, intensity 30
46.58°, intensity 2
52.77°, intensity 41
61.75°, intensity 19
70.02°, intensity 18
77.87°, intensity 6
85.50°, intensity 22

Atomic structure:
a = 8.4987 Å, b = 8.4987 Å, c = 8.4987 Å
α = 90.00°, β = 90.00°, γ = 90.00°
Space group F-43m (No. 216)
Unique sites:
Ba 0.0000 0.0000 0.0000 (multiplicity 4)
Dy 0.2500 0.2500 0.2500 (multiplicity 4)
Nb 0.2500 0.2500 0.7500 (multiplicity 4)
Sn 0.0000 0.0000 0.5000 (multiplicity 4)
O 0.0129 0.2500 0.7500 (multiplicity 24)

=====

Theoretical XRD peak list of BaDyO3 for Cu Kα X-rays, from a cell relaxed with GGA-PBE.
Kinematic intensities with the Lorentz-polarization factor, no thermal factor.

Main lines, low angle first (2θ from 10° to 90°):
20.05°, intensity 3
28.51°, intensity 100
40.75°, intensity 29
45.82°, intensity 1
50.48°, intensity 42
59.00°, intensity 19
66.81°, intensity 18
74.18°, intensity 6
81.30°, intensity 22
88.28°, intensity 3

Atomic structure:
a = 4.4281 Å, b = 4.4281 Å, c = 4.4281 Å
α = 90.00°, β = 90.00°, γ = 90.00°
Space group Pm-3m (No. 221)
Unique sites:
Ba 0.0000 0.0000 0.0000 (multiplicity 1)
Dy 0.5000 0.5000 0.5000 (multiplicity 1)
O 0.0000 0.5000 0.5000 (multiplicity 3)

=====

Theoretical XRD peak list of BaDy2O4 for Cu Kα X-rays, from a cell relaxed with GGA-PBE.
Kinematic intensities with the Lorentz-polarization factor, no thermal factor.

Main lines, low angle first (2θ from 10° to 90°):
29.22°, intensity 46
29.40°, intensity 98
30.75°, intensity 100
34.94°, intensity 17
42.96°, intensity 29
43.14°, intensity 20
51.92°, intensity 15
52.52°, intensity 15
52.95°, intensity 19
61.33°, intensity 28

Atomic structure:
a = 10.5033 Å, b = 3.4850 Å, c = 12.2259 Å
α = 90.00°, β = 90.00°, γ = 90.00°
Space group Pnma (No. 62)
Unique sites:
Ba 0.2468 0.2500 0.1485 (multiplicity 4)
Dy 0.0739 0.2500 0.3888 (multiplicity 4)
Dy 0.0776 0.2500 0.8906 (multiplicity 4)
O 0.0179 0.7500 0.7830 (multiplicity 4)
O 0.0702 0.2500 0.5740 (multiplicity 4)
O 0.1154 0.7500 0.0174 (multiplicity 4)
O 0.2096 0.7500 0.3400 (multiplicity 4)

=====

Theoretical XRD peak list of Ba3Dy4O9 for Cu Kα X-rays, from a cell relaxed with GGA-PBE.
Kinematic intensities with the Lorentz-polarization factor, no thermal factor.

Main lines, low angle first (2θ from 10° to 90°):
18.03°, intensity 13
29.03°, intensity 100
29.58°, intensity 81
41.93°, intensity 42
43.27°, intensity 18
51.46°, intensity 23
51.81°, intensity 36
60.20°, intensity 22
68.47°, intensity 15
83.09°, intensity 11

Atomic structure:
a = 6.1511 Å, b = 6.1511 Å, c = 25.6589 Å
α = 90.00°, β = 90.00°, γ = 120.00°
Space group R3 (No. 146, hexagonal axes)
Unique sites:
Ba 0.0000 0.0000 0.0000 (multiplicity 3)
Ba 0.0000 0.0000 0.1662 (multiplicity 3)
Ba 0.0000 0.0000 0.5882 (multiplicity 3)
Dy 0.0000 0.0000 0.3008 (multiplicity 3)
Dy 0.0000 0.0000 0.4267 (multiplicity 3)
Dy 0.0000 0.0000 0.7392 (multiplicity 3)
Dy 0.0000 0.0000 0.8644 (multiplicity 3)
O 0.0013 0.4370 0.5828 (multiplicity 9)
O 0.0122 0.5638 0.0257 (multiplicity 9)
O 0.1085 0.7597 0.4712 (multiplicity 9)

=====

Theoretical XRD peak list of Ba2DyPaO6 for Cu Kα X-rays, from a cell relaxed with GGA-PBE.
Kinematic intensities with the Lorentz-polarization factor, no thermal factor.

Main lines, low angle first (2θ from 10° to 90°):
20.03°, intensity 8
28.47°, intensity 100
40.70°, intensity 28
45.76°, intensity 4
50.42°, intensity 42
58.92°, intensity 18
66.72°, intensity 19
74.08°, intensity 6
81.18°, intensity 22
88.14°, intensity 3

Atomic structure:
a = 8.8668 Å, b = 8.8668 Å, c = 8.8668 Å
α = 90.00°, β = 90.00°, γ = 90.00°
Space group Fm-3m (No. 225)
Unique sites:
Ba 0.2500 0.2500 0.2500 (multiplicity 8)
Dy 0.0000 0.0000 0.0000 (multiplicity 4)
Pa 0.0000 0.0000 0.5000 (multiplicity 4)
O 0.0000 0.0000 0.2541 (multiplicity 24)